Entry 1:
The following is a calculated powder diffraction line list of Pr2Ni7P4. It was derived from a DFT-relaxed cell (GGA-PBE, Alexandria), using Cu Kα (weighted mean of Kα1 and Kα2).

Atomic structure:
```
Pr2Ni7P4
1.0
3.774 0.000 0.000
0.000 9.275 0.000
0.000 0.000 10.512
Pr Ni P
4 14 8
direct
0.000 0.062 0.000
0.000 0.436 0.216
0.500 0.564 0.716
0.500 0.938 0.500
0.000 0.062 0.696
0.000 0.095 0.303
0.000 0.305 0.792
0.000 0.416 0.519
0.000 0.680 0.476
0.000 0.726 0.889
0.000 0.748 0.119
0.500 0.252 0.619
0.500 0.274 0.389
0.500 0.320 0.976
0.500 0.584 0.019
0.500 0.695 0.292
0.500 0.905 0.803
0.500 0.938 0.196
0.000 0.183 0.505
0.000 0.477 0.933
0.000 0.816 0.690
0.000 0.842 0.306
0.500 0.158 0.806
0.500 0.184 0.190
0.500 0.523 0.433
0.500 0.817 0.005
```

Largest 10 diffraction maxima, in order of rising 2θ, 2θ from 10° to 80°:
- 2θ 32.01, rel. 19
- 2θ 35.09, rel. 25
- 2θ 36.30, rel. 100
- 2θ 37.61, rel. 79
- 2θ 40.14, rel. 29
- 2θ 43.06, rel. 25
- 2θ 46.99, rel. 35
- 2θ 48.23, rel. 43
- 2θ 67.93, rel. 23
- 2θ 69.62, rel. 21



Entry 2:
The following is a calculated powder diffraction line list of Pr9Ni26P12. It was derived from a DFT-relaxed cell (GGA-PBE, Alexandria), using Cu Kα (weighted mean of Kα1 and Kα2).

Atomic structure:
```
Pr9Ni26P12
1.0
14.437 0.000 0.000
-7.219 12.503 0.000
0.000 0.000 3.899
Pr Ni P
9 26 12
direct
0.048 0.524 0.000
0.091 0.182 0.500
0.091 0.909 0.500
0.476 0.524 0.000
0.476 0.952 0.000
0.481 0.240 0.000
0.760 0.240 0.000
0.760 0.519 0.000
0.818 0.909 0.500
0.000 0.000 0.000
0.121 0.408 0.500
0.121 0.712 0.500
0.223 0.612 0.500
0.268 0.536 0.000
0.268 0.732 0.000
0.286 0.005 0.000
0.286 0.143 0.500
0.286 0.281 0.000
0.288 0.408 0.500
0.288 0.879 0.500
0.388 0.612 0.500
0.388 0.777 0.500
0.464 0.732 0.000
0.569 0.139 0.500
0.569 0.431 0.500
0.592 0.712 0.500
0.592 0.879 0.500
0.667 0.333 0.500
0.719 0.005 0.000
0.719 0.714 0.000
0.857 0.143 0.500
0.857 0.714 0.500
0.861 0.431 0.500
0.995 0.281 0.000
0.995 0.714 0.000
0.182 0.363 0.000
0.182 0.818 0.000
0.185 0.093 0.000
0.387 0.057 0.500
0.387 0.329 0.500
0.637 0.818 0.000
0.671 0.057 0.500
0.671 0.613 0.500
0.907 0.093 0.000
0.907 0.815 0.000
0.943 0.329 0.500
0.943 0.613 0.500
```

Largest 10 diffraction maxima, in order of rising 2θ, 2θ from 10° to 80°:
- 2θ 34.62, rel. 24
- 2θ 36.85, rel. 100
- 2θ 37.37, rel. 11
- 2θ 40.35, rel. 16
- 2θ 44.06, rel. 23
- 2θ 46.59, rel. 26
- 2θ 50.58, rel. 14
- 2θ 56.68, rel. 20
- 2θ 66.05, rel. 13
- 2θ 71.24, rel. 23